Theoretical powder diffractogram of Hf7Bi2S2 for Cu Kα X-rays, from a crystal structure in Alexandria, relaxed with PBE.

Structural model:
Lattice parameters (Å, degrees): 11.003 8.083 5.567 90.00 90.69 90.00
Space group C2/m (No. 12)
Inequivalent atoms, fractional coordinates:
Hf (0.000, 0.000, 0.000) (multiplicity 2)
Hf (0.074, 0.500, 0.763) (multiplicity 4)
Hf (0.210, 0.308, 0.242) (multiplicity 8)
Bi (0.000, 0.190, 0.500) (multiplicity 4)
S (0.217, 0.000, 0.093) (multiplicity 4)

Main lines, sorted by position (2θ from 15° to 90°):
- d 3.271, 27.27°, I 37, (0 2 1)
- d 3.257, 27.38°, I 29, (2 2 0)
- d 2.803, 31.93°, I 82, (2 2 1)
- d 2.750, 32.55°, I 34, (4 0 0)
- d 2.566, 34.97°, I 39, (1 1 -2)
- d 2.553, 35.15°, I 27, (1 1 2)
- d 2.496, 35.99°, I 30, (2 0 -2)
- d 2.475, 36.29°, I 68, (4 0 -1)
- d 2.371, 37.95°, I 100, (1 3 -1)
- d 2.124, 42.57°, I 36, (2 2 -2)
- d 2.110, 42.86°, I 35, (2 2 2)
- d 1.512, 61.32°, I 23, (1 3 3)